Entry 1:
Diffraction record for RbThAg2S4. The PXRD pattern is computed, not measured: it uses a crystal structure in Alexandria, relaxed with GGA-PBE and Cu Ka.
Neutral-atom scattering factors, no anomalous dispersion.

Atomic structure:
a = 6.521 Å, b = 6.521 Å, c = 6.521 Å
α = 114.35°, β = 114.27°, γ = 100.18°
Atoms (fractional coordinates):
Rb (0.000, 0.000, 0.000)
Th (0.500, 0.500, 0.000)
Ag (0.251, 0.751, 0.500)
Ag (0.749, 0.249, 0.500)
S (0.090, 0.090, 0.571)
S (0.481, 0.910, 0.000)
S (0.519, 0.519, 0.429)
S (0.910, 0.481, 0.000)

The 12 most intense peaks (15 to 90 degrees two-theta), most intense first:
| Position (°2θ) | d (Å) | I (rel.) |
| --- | --- | --- |
| 27.80 | 3.209 | 100 |
| 46.01 | 1.973 | 53 |
| 25.18 | 3.537 | 37 |
| 35.91 | 2.501 | 36 |
| 16.41 | 5.402 | 25 |
| 50.70 | 1.801 | 20 |
| 57.43 | 1.605 | 14 |
| 43.25 | 2.092 | 14 |
| 75.33 | 1.262 | 12 |
| 71.67 | 1.317 | 12 |
| 51.69 | 1.768 | 12 |
| 82.85 | 1.165 | 11 |

Entry 2:
Diffraction record for La3Dy12Ho. The PXRD pattern is computed, not measured: it uses a crystal structure in Alexandria, relaxed with GGA-PBE and Cu Ka.
Neutral-atom scattering factors, no anomalous dispersion.

Atomic structure:
a = 5.065 Å, b = 5.065 Å, c = 20.278 Å
α = 90.00°, β = 90.00°, γ = 90.00°
Atoms (fractional coordinates):
La (0.000, 0.000, 0.000)
La (0.000, 0.000, 0.250)
La (0.000, 0.000, 0.750)
Dy (0.000, 0.500, 0.126)
Dy (0.000, 0.500, 0.378)
Dy (0.000, 0.500, 0.622)
Dy (0.000, 0.500, 0.874)
Dy (0.500, 0.000, 0.126)
Dy (0.500, 0.000, 0.378)
Dy (0.500, 0.000, 0.622)
Dy (0.500, 0.000, 0.874)
Dy (0.500, 0.500, 0.000)
Dy (0.500, 0.500, 0.252)
Dy (0.500, 0.500, 0.500)
Dy (0.500, 0.500, 0.748)
Ho (0.000, 0.000, 0.500)

The 8 most intense peaks (15 to 90 degrees two-theta), most intense first:
| Position (°2θ) | d (Å) | I (rel.) |
| --- | --- | --- |
| 30.56 | 2.925 | 100 |
| 35.43 | 2.533 | 51 |
| 60.61 | 1.528 | 43 |
| 50.98 | 1.791 | 36 |
| 83.09 | 1.162 | 18 |
| 85.76 | 1.133 | 16 |
| 63.62 | 1.463 | 12 |
| 74.98 | 1.267 | 6 |

Entry 3:
Diffraction record for V3Mo13. The PXRD pattern is computed, not measured: it uses a crystal structure in Alexandria, relaxed with GGA-PBE and Cu Ka.
Neutral-atom scattering factors, no anomalous dispersion.

Atomic structure:
a = 6.271 Å, b = 6.268 Å, c = 6.268 Å
α = 89.85°, β = 90.00°, γ = 90.00°
Atoms (fractional coordinates):
V (0.000, 0.000, 0.000)
V (0.249, 0.249, 0.249)
V (0.751, 0.249, 0.249)
Mo (0.000, 0.003, 0.496)
Mo (0.000, 0.496, 0.003)
Mo (0.000, 0.497, 0.497)
Mo (0.249, 0.248, 0.751)
Mo (0.249, 0.750, 0.750)
Mo (0.249, 0.751, 0.248)
Mo (0.500, 0.003, 0.003)
Mo (0.500, 0.003, 0.497)
Mo (0.500, 0.497, 0.003)
Mo (0.500, 0.498, 0.498)
Mo (0.751, 0.248, 0.751)
Mo (0.751, 0.750, 0.750)
Mo (0.751, 0.751, 0.248)

The 12 most intense peaks (15 to 90 degrees two-theta), most intense first:
| Position (°2θ) | d (Å) | I (rel.) |
| --- | --- | --- |
| 40.69 | 2.217 | 100 |
| 74.04 | 1.280 | 26 |
| 40.77 | 2.213 | 20 |
| 58.93 | 1.567 | 19 |
| 74.17 | 1.278 | 13 |
| 88.14 | 1.108 | 9 |
| 31.92 | 2.804 | 2 |
| 88.03 | 1.110 | 2 |
| 88.32 | 1.107 | 2 |
| 20.05 | 4.429 | 2 |
| 43.29 | 2.090 | 1 |
| 35.05 | 2.560 | 1 |

Entry 4:
Diffraction record for MgH. The PXRD pattern is computed, not measured: it uses a crystal structure in Alexandria, relaxed with GGA-PBE and Cu Ka.
Neutral-atom scattering factors, no anomalous dispersion.

Atomic structure:
a = 3.346 Å, b = 3.346 Å, c = 4.487 Å
α = 90.00°, β = 90.00°, γ = 90.00°
Atoms (fractional coordinates):
Mg (0.000, 0.500, 0.000)
Mg (0.500, 0.000, 0.500)
H (0.000, 0.000, 0.250)
H (0.000, 0.000, 0.750)

The 10 most intense peaks (15 to 90 degrees two-theta), most intense first:
| Position (°2θ) | d (Å) | I (rel.) |
| --- | --- | --- |
| 33.40 | 2.683 | 100 |
| 38.03 | 2.366 | 31 |
| 65.78 | 1.420 | 26 |
| 56.53 | 1.628 | 22 |
| 40.20 | 2.243 | 13 |
| 54.87 | 1.673 | 12 |
| 68.75 | 1.365 | 11 |
| 70.17 | 1.341 | 10 |
| 81.32 | 1.183 | 3 |
| 86.83 | 1.122 | 1 |